# 1
# V3SbP4O16
Simulated XRD peak list, CuKα. Input: a cell relaxed with PBE+U.
Kinematic intensities with the Lorentz-polarization factor, no thermal factor.

The 10 most intense peaks (10° ≤ 2θ ≤ 80°), sorted by position:
2θ 17.2, 5.158 Å, intensity 85, hkl 0 0 2
2θ 19.6, 4.523 Å, intensity 87, hkl 1 0 1
2θ 22.7, 3.923 Å, intensity 24, hkl 0 1 2
2θ 24.6, 3.621 Å, intensity 100, hkl 1 1 1
2θ 29.6, 3.020 Å, intensity 70, hkl 0 2 0
2θ 34.9, 2.570 Å, intensity 99, hkl 1 1 -3
2θ 35.7, 2.512 Å, intensity 36, hkl 1 2 1
2θ 47.0, 1.933 Å, intensity 23, hkl 2 2 0
2θ 50.4, 1.810 Å, intensity 27, hkl 2 2 -2
2θ 56.0, 1.642 Å, intensity 24, hkl 1 3 -3

a b c (Å): 5.0328 6.0406 10.3170
angles (deg): 90.00 90.09 90.00
Sites, in units of the cell vectors:
1 V 0.0000 0.0000 0.0000
2 V 0.0606 0.5000 0.4491
3 V 0.5047 0.5000 0.9624
4 Sb 0.5543 0.0000 0.5047
5 P 0.0981 0.0000 0.3148
6 P 0.4333 0.0000 0.8408
7 P 0.6385 0.5000 0.6310
8 P 0.9427 0.5000 0.1280
9 O 0.1666 0.0000 0.1714
10 O 0.2343 0.2024 0.3860
11 O 0.2343 0.7976 0.3860
12 O 0.2411 0.5000 0.1025
13 O 0.2943 0.2005 0.9137
14 O 0.2943 0.7995 0.9137
15 O 0.3533 0.5000 0.5801
16 O 0.3578 0.0000 0.6987
17 O 0.6482 0.5000 0.7781
18 O 0.7335 0.0000 0.8616
19 O 0.7951 0.3020 0.0564
20 O 0.7951 0.6980 0.0564
21 O 0.7967 0.0000 0.3339
22 O 0.8045 0.3041 0.5665
23 O 0.8045 0.6959 0.5665
24 O 0.8885 0.5000 0.2741

=====

# 2
# LiCr3O8
Simulated XRD peak list, CuKα. Input: a cell relaxed with PBE+U.
Kinematic intensities with the Lorentz-polarization factor, no thermal factor.

The 10 most intense peaks (10° ≤ 2θ ≤ 80°), sorted by position:
2θ 17.3, 5.118 Å, intensity 44, hkl 1 1 0
2θ 23.7, 3.758 Å, intensity 100, hkl 1 1 1
2θ 25.3, 3.520 Å, intensity 62, hkl 1 2 0
2θ 30.1, 2.970 Å, intensity 14, hkl 1 2 1
2θ 32.3, 2.767 Å, intensity 28, hkl 0 0 2
2θ 33.9, 2.646 Å, intensity 54, hkl 2 1 1
2θ 36.0, 2.498 Å, intensity 31, hkl 0 3 1
2θ 52.0, 1.760 Å, intensity 11, hkl 2 4 0
2θ 58.7, 1.574 Å, intensity 14, hkl 2 1 3
2θ 62.5, 1.485 Å, intensity 25, hkl 2 4 2

a b c (Å): 6.4558 8.3980 5.5349
angles (deg): 90.00 90.00 90.00
Sites, in units of the cell vectors:
1 Li 0.0000 0.0000 0.0000
2 Li 0.5000 0.5000 0.5000
3 Cr 0.0000 0.5000 0.5000
4 Cr 0.2310 0.3514 0.0000
5 Cr 0.2690 0.8514 0.5000
6 Cr 0.5000 0.0000 0.0000
7 Cr 0.7310 0.1486 0.5000
8 Cr 0.7690 0.6486 0.0000
9 O 0.0294 0.2402 0.0000
10 O 0.0586 0.7355 0.5000
11 O 0.2264 0.4674 0.2528
12 O 0.2264 0.4674 0.7472
13 O 0.2736 0.9674 0.2472
14 O 0.2736 0.9674 0.7528
15 O 0.4414 0.2355 0.0000
16 O 0.4706 0.7402 0.5000
17 O 0.5294 0.2598 0.5000
18 O 0.5586 0.7645 0.0000
19 O 0.7264 0.0326 0.2472
20 O 0.7264 0.0326 0.7528
21 O 0.7736 0.5326 0.2528
22 O 0.7736 0.5326 0.7472
23 O 0.9414 0.2645 0.5000
24 O 0.9706 0.7598 0.0000